Theoretical powder X-ray diffraction pattern
Compound: Na2MgVF7
Radiation: Cu Kα
Structure: a cell relaxed with GGA+U
Intensities are scaled so that the largest is 1000.

The 12 most intense peaks (2θ = 10–90°), in order of rising 2θ:
- 2θ 16.87, d = 5.255 Å, intensity 488
- 2θ 24.03, d = 3.704 Å, intensity 364
- 2θ 29.18, d = 3.060 Å, intensity 1000
- 2θ 29.82, d = 2.996 Å, intensity 787
- 2θ 36.71, d = 2.448 Å, intensity 169
- 2θ 37.61, d = 2.392 Å, intensity 347
- 2θ 42.57, d = 2.124 Å, intensity 174
- 2θ 49.20, d = 1.852 Å, intensity 922
- 2θ 49.86, d = 1.829 Å, intensity 277
- 2θ 57.70, d = 1.598 Å, intensity 359
- 2θ 58.37, d = 1.581 Å, intensity 208
- 2θ 58.81, d = 1.570 Å, intensity 291

Crystal structure
a b c (Å): 7.410 7.410 7.410
angles (deg): 120.84 90.40 118.71
Fractional coordinates of all 22 atoms:
Na1 0.000 0.000 0.000
Na2 0.500 0.000 0.000
Na3 0.500 0.000 0.500
Na4 0.500 0.500 0.500
Mg1 0.000 0.000 0.500
Mg2 0.000 0.500 0.000
V1 0.000 0.500 0.500
V2 0.500 0.500 0.000
F1 0.052 0.234 0.416
F2 0.052 0.636 0.818
F3 0.088 0.838 0.250
F4 0.318 0.234 0.682
F5 0.318 0.636 0.084
F6 0.324 0.731 0.594
F7 0.363 0.269 0.094
F8 0.637 0.731 0.906
F9 0.676 0.269 0.406
F10 0.682 0.364 0.916
F11 0.682 0.766 0.318
F12 0.912 0.162 0.750
F13 0.948 0.364 0.182
F14 0.948 0.766 0.584